# 1
Theoretical powder XRD pattern of Pm3Dy2Cd4 for Cu Kα (λ = 1.5418 Å), from a structure optimized by DFT (GGA-PBE).

Structural model:
```
data_Pm3Dy2Cd4
_chemical_formula_sum 'Pm6 Dy4 Cd8'
_cell_length_a 10.289
_cell_length_b 10.289
_cell_length_c 8.131
_cell_angle_alpha 90.00
_cell_angle_beta 90.00
_cell_angle_gamma 142.13
_space_group_name_H-M_alt 'P 1'
_space_group_IT_number 1
_space_group_name_Hall 'P 1'
loop_
_atom_site_label
_atom_site_fract_x
_atom_site_fract_y
_atom_site_fract_z
_atom_site_occupancy
Pm1 0.000 0.000 0.000 1
Pm2 0.004 0.496 0.250 1
Pm3 0.496 0.004 0.750 1
Pm4 0.500 0.500 0.500 1
Pm5 0.504 0.996 0.250 1
Pm6 0.996 0.504 0.750 1
Dy1 0.090 0.910 0.400 1
Dy2 0.410 0.590 0.900 1
Dy3 0.590 0.410 0.100 1
Dy4 0.910 0.090 0.600 1
Cd1 0.156 0.844 0.021 1
Cd2 0.171 0.329 0.250 1
Cd3 0.329 0.171 0.750 1
Cd4 0.344 0.656 0.521 1
Cd5 0.656 0.344 0.479 1
Cd6 0.671 0.829 0.250 1
Cd7 0.829 0.671 0.750 1
Cd8 0.844 0.156 0.979 1
```

Largest 10 diffraction maxima, sorted by position, 10° ≤ 2θ ≤ 90°:
2theta, d [Å], I/Imax
28.73, 3.108, 64
29.17, 3.062, 27
30.36, 2.944, 48
34.36, 2.610, 53
34.77, 2.580, 100
35.40, 2.536, 58
36.06, 2.491, 23
36.71, 2.448, 47
38.70, 2.327, 24
60.48, 1.531, 49


# 2
Theoretical powder XRD pattern of B3C5 for Cu Kα (λ = 1.5418 Å), from a structure optimized by DFT (GGA-PBE).

Structural model:
```
data_B3C5
_chemical_formula_sum 'B3 C5'
_cell_length_a 3.834
_cell_length_b 2.624
_cell_length_c 5.327
_cell_angle_alpha 90.00
_cell_angle_beta 90.71
_cell_angle_gamma 90.00
_space_group_name_H-M_alt 'P 1'
_space_group_IT_number 1
_space_group_name_Hall 'P 1'
loop_
_atom_site_label
_atom_site_fract_x
_atom_site_fract_y
_atom_site_fract_z
_atom_site_occupancy
B1 0.000 0.000 0.000 1
B2 0.197 0.500 0.556 1
B3 0.630 0.000 0.357 1
C1 0.219 0.500 0.048 1
C2 0.434 0.500 0.291 1
C3 0.456 0.500 0.809 1
C4 0.685 0.000 0.804 1
C5 0.924 0.000 0.566 1
```

Largest 10 diffraction maxima, sorted by position, 10° ≤ 2θ ≤ 90°:
2theta, d [Å], I/Imax
16.64, 5.326, 18
23.20, 3.834, 11
28.52, 3.130, 16
41.03, 2.200, 64
41.53, 2.175, 48
41.72, 2.165, 100
70.00, 1.344, 20
70.72, 1.332, 41
71.99, 1.312, 17
85.97, 1.131, 11


# 3
Theoretical powder XRD pattern of Ce5O9 for Cu Kα (λ = 1.5418 Å), from a structure optimized by DFT (GGA-PBE).

Structural model:
```
data_Ce5O9
_chemical_formula_sum 'Ce10 O18'
_cell_length_a 6.774
_cell_length_b 7.808
_cell_length_c 8.731
_cell_angle_alpha 76.90
_cell_angle_beta 74.64
_cell_angle_gamma 73.30
_space_group_name_H-M_alt 'P 1'
_space_group_IT_number 1
_space_group_name_Hall 'P 1'
loop_
_atom_site_label
_atom_site_fract_x
_atom_site_fract_y
_atom_site_fract_z
_atom_site_occupancy
Ce1 0.022 0.245 0.481 1
Ce2 0.205 0.066 0.084 1
Ce3 0.210 0.537 0.087 1
Ce4 0.370 0.359 0.689 1
Ce5 0.396 0.854 0.701 1
Ce6 0.604 0.146 0.299 1
Ce7 0.630 0.641 0.311 1
Ce8 0.790 0.463 0.913 1
Ce9 0.795 0.934 0.916 1
Ce10 0.978 0.755 0.519 1
O1 0.014 0.433 0.660 1
O2 0.023 0.975 0.666 1
O3 0.140 0.354 0.946 1
O4 0.177 0.840 0.966 1
O5 0.262 0.249 0.236 1
O6 0.327 0.659 0.531 1
O7 0.351 0.152 0.540 1
O8 0.468 0.524 0.835 1
O9 0.473 0.077 0.839 1
O10 0.527 0.923 0.161 1
O11 0.532 0.476 0.165 1
O12 0.649 0.848 0.460 1
O13 0.673 0.341 0.469 1
O14 0.738 0.751 0.764 1
O15 0.823 0.160 0.034 1
O16 0.860 0.646 0.054 1
O17 0.977 0.025 0.334 1
O18 0.986 0.567 0.340 1
```

Largest 10 diffraction maxima, sorted by position, 10° ≤ 2θ ≤ 90°:
2theta, d [Å], I/Imax
27.90, 3.198, 50
27.98, 3.189, 100
28.10, 3.176, 48
32.40, 2.763, 41
32.49, 2.756, 21
46.38, 1.958, 33
46.55, 1.951, 49
46.71, 1.945, 17
55.11, 1.667, 41
55.34, 1.660, 20


# 4
Theoretical powder XRD pattern of HgI2O6 for Cu Kα (λ = 1.5418 Å), from a structure optimized by DFT (GGA-PBE).

Structural model:
```
data_HgI2O6
_chemical_formula_sum 'Hg2 I4 O12'
_cell_length_a 6.162
_cell_length_b 5.505
_cell_length_c 9.214
_cell_angle_alpha 90.00
_cell_angle_beta 102.25
_cell_angle_gamma 90.00
_space_group_name_H-M_alt 'P 1'
_space_group_IT_number 1
_space_group_name_Hall 'P 1'
loop_
_atom_site_label
_atom_site_fract_x
_atom_site_fract_y
_atom_site_fract_z
_atom_site_occupancy
Hg1 0.020 0.000 0.168 1
Hg2 0.980 0.500 0.832 1
I1 0.266 0.498 0.560 1
I2 0.406 0.524 0.147 1
I3 0.594 0.024 0.853 1
I4 0.734 0.998 0.440 1
O1 0.028 0.674 0.597 1
O2 0.179 0.307 0.059 1
O3 0.251 0.676 0.274 1
O4 0.278 0.309 0.729 1
O5 0.332 0.738 0.993 1
O6 0.495 0.711 0.625 1
O7 0.505 0.211 0.375 1
O8 0.668 0.238 0.007 1
O9 0.722 0.809 0.271 1
O10 0.749 0.176 0.726 1
O11 0.821 0.807 0.941 1
O12 0.972 0.174 0.403 1
```

Largest 10 diffraction maxima, sorted by position, 10° ≤ 2θ ≤ 90°:
2theta, d [Å], I/Imax
18.89, 4.697, 28
21.88, 4.063, 49
22.68, 3.920, 32
25.31, 3.519, 100
27.13, 3.287, 26
27.38, 3.257, 91
29.76, 3.002, 32
32.53, 2.753, 33
44.66, 2.029, 36
47.25, 1.924, 32


# 5
Theoretical powder XRD pattern of NdH6Pt4 for Cu Kα (λ = 1.5418 Å), from a structure optimized by DFT (GGA-PBE).

Structural model:
```
data_NdH6Pt4
_chemical_formula_sum 'Nd1 H6 Pt4'
_cell_length_a 5.172
_cell_length_b 5.547
_cell_length_c 5.588
_cell_angle_alpha 61.13
_cell_angle_beta 69.44
_cell_angle_gamma 65.54
_space_group_name_H-M_alt 'P 1'
_space_group_IT_number 1
_space_group_name_Hall 'P 1'
loop_
_atom_site_label
_atom_site_fract_x
_atom_site_fract_y
_atom_site_fract_z
_atom_site_occupancy
Nd1 0.000 0.000 0.000 1
H1 0.137 0.453 0.220 1
H2 0.482 0.041 0.054 1
H3 0.548 0.015 0.697 1
H4 0.585 0.576 0.324 1
H5 0.657 0.484 0.896 1
H6 0.996 0.012 0.466 1
Pt1 0.331 0.424 0.906 1
Pt2 0.364 0.342 0.450 1
Pt3 0.388 0.868 0.405 1
Pt4 0.843 0.732 0.661 1
```

Largest 10 diffraction maxima, sorted by position, 10° ≤ 2θ ≤ 90°:
2theta, d [Å], I/Imax
19.20, 4.624, 65
20.70, 4.291, 51
29.24, 3.054, 45
31.13, 2.873, 43
35.72, 2.513, 49
36.09, 2.489, 46
37.50, 2.398, 78
37.88, 2.375, 71
38.83, 2.319, 100
38.97, 2.311, 59


# 6
Theoretical powder XRD pattern of K2TiSi3O9 for Cu Kα (λ = 1.5418 Å), from a structure optimized by DFT (GGA-PBE).

Structural model:
```
data_K2TiSi3O9
_chemical_formula_sum 'K4 Ti2 Si6 O18'
_cell_length_a 7.718
_cell_length_b 7.718
_cell_length_c 7.718
_cell_angle_alpha 82.45
_cell_angle_beta 82.45
_cell_angle_gamma 82.45
_space_group_name_H-M_alt 'P 1'
_space_group_IT_number 1
_space_group_name_Hall 'P 1'
loop_
_atom_site_label
_atom_site_fract_x
_atom_site_fract_y
_atom_site_fract_z
_atom_site_occupancy
K1 0.000 0.000 0.000 1
K2 0.269 0.506 0.731 1
K3 0.506 0.731 0.269 1
K4 0.731 0.269 0.506 1
Ti1 0.276 0.276 0.276 1
Ti2 0.758 0.758 0.758 1
Si1 0.064 0.948 0.483 1
Si2 0.401 0.989 0.607 1
Si3 0.483 0.064 0.948 1
Si4 0.607 0.401 0.989 1
Si5 0.948 0.483 0.064 1
Si6 0.989 0.607 0.401 1
O1 0.032 0.813 0.341 1
O2 0.073 0.143 0.378 1
O3 0.143 0.378 0.073 1
O4 0.174 0.480 0.400 1
O5 0.257 0.869 0.555 1
O6 0.341 0.032 0.813 1
O7 0.378 0.073 0.143 1
O8 0.400 0.174 0.480 1
O9 0.480 0.400 0.174 1
O10 0.555 0.257 0.869 1
O11 0.589 0.868 0.594 1
O12 0.594 0.589 0.868 1
O13 0.651 0.913 0.940 1
O14 0.813 0.341 0.032 1
O15 0.868 0.594 0.589 1
O16 0.869 0.555 0.257 1
O17 0.913 0.940 0.651 1
O18 0.940 0.651 0.913 1
```

Largest 10 diffraction maxima, sorted by position, 10° ≤ 2θ ≤ 90°:
2theta, d [Å], I/Imax
15.50, 5.715, 90
17.44, 5.086, 61
24.96, 3.568, 68
27.44, 3.251, 43
29.34, 3.044, 100
30.44, 2.936, 36
31.30, 2.858, 56
35.87, 2.504, 29
36.05, 2.491, 38
44.23, 2.048, 37